1.
Structure and computed XRD peak list of Co5SbO8 (a structure optimized by DFT (PBE+U); Cu Ka).
Kinematic intensities with the Lorentz-polarization factor, no thermal factor.

abc: 6.0045 6.0141 10.7497
angles: 73.80 89.89 60.13
Element x y z (fractional)
Co  0.0000  0.0000  0.0000
Co  0.0000  0.0000  0.5000
Co  0.0000  0.5000  0.0000
Co  0.0625  0.3682  0.7028
Co  0.4364  0.6337  0.7972
Co  0.5000  0.0000  0.0000
Co  0.5000  0.0000  0.5000
Co  0.5000  0.5000  0.5000
Co  0.5636  0.3663  0.2028
Co  0.9375  0.6318  0.2972
Sb  0.2511  0.9985  0.2499
Sb  0.7489  0.0015  0.7501
O  0.0988  0.7656  0.8690
O  0.1189  0.2594  0.8990
O  0.1379  0.7655  0.3707
O  0.1420  0.2252  0.3719
O  0.3626  0.2347  0.1282
O  0.3633  0.7734  0.1288
O  0.3806  0.7726  0.6012
O  0.3990  0.2317  0.6305
O  0.6010  0.7683  0.3695
O  0.6194  0.2274  0.3988
O  0.6367  0.2266  0.8712
O  0.6374  0.7653  0.8718
O  0.8580  0.7748  0.6281
O  0.8621  0.2345  0.6293
O  0.8811  0.7406  0.1010
O  0.9012  0.2344  0.1310

Largest 12 diffraction maxima, sorted by position, 2θ from 15° to 90°:
2θ 18.0, I = 70
2θ 29.7, I = 51
2θ 34.0, I = 64
2θ 34.6, I = 26
2θ 34.7, I = 100
2θ 34.7, I = 24
2θ 35.0, I = 21
2θ 42.0, I = 36
2θ 42.1, I = 18
2θ 55.5, I = 24
2θ 56.0, I = 17
2θ 61.7, I = 32

***

2.
Structure and computed XRD peak list of CoSb2O6 (a structure optimized by DFT (PBE+U); Cu Ka).
Kinematic intensities with the Lorentz-polarization factor, no thermal factor.

abc: 4.7260 4.7260 9.4210
angles: 90.00 90.00 90.00
Element x y z (fractional)
Co  0.0000  0.0000  0.0000
Co  0.5000  0.5000  0.5000
Sb  0.0000  0.0000  0.3323
Sb  0.0000  0.0000  0.6677
Sb  0.5000  0.5000  0.1677
Sb  0.5000  0.5000  0.8323
O  0.1903  0.1903  0.5000
O  0.1975  0.1975  0.1716
O  0.1975  0.1975  0.8284
O  0.3025  0.6975  0.3284
O  0.3025  0.6975  0.6716
O  0.3097  0.6903  0.0000
O  0.6903  0.3097  0.0000
O  0.6975  0.3025  0.3284
O  0.6975  0.3025  0.6716
O  0.8025  0.8025  0.1716
O  0.8025  0.8025  0.8284
O  0.8097  0.8097  0.5000

Largest 12 diffraction maxima, sorted by position, 2θ from 15° to 90°:
2θ 21.0, I = 12
2θ 26.7, I = 100
2θ 34.3, I = 75
2θ 38.1, I = 20
2θ 52.2, I = 65
2θ 55.0, I = 17
2θ 58.8, I = 8
2θ 62.1, I = 14
2θ 65.7, I = 14
2θ 66.4, I = 21
2θ 79.2, I = 12
2θ 84.7, I = 9

***

3.
Structure and computed XRD peak list of Co5SbO8 (a structure optimized by DFT (PBE+U); Cu Ka).
Kinematic intensities with the Lorentz-polarization factor, no thermal factor.

abc: 5.9934 6.0028 10.7116
angles: 74.05 73.76 60.27
Element x y z (fractional)
Co  0.0000  0.0000  0.0000
Co  0.0004  0.4993  0.0001
Co  0.0016  0.4992  0.4999
Co  0.0745  0.0665  0.2971
Co  0.4290  0.4253  0.2030
Co  0.5001  0.9999  0.9998
Co  0.5012  0.9995  0.4997
Co  0.5016  0.4997  0.5001
Co  0.5719  0.5740  0.7969
Co  0.9283  0.9321  0.7030
Sb  0.2493  0.2541  0.7500
Sb  0.7514  0.7453  0.2498
O  0.0989  0.6354  0.1284
O  0.1332  0.5989  0.6290
O  0.1358  0.1324  0.6322
O  0.1584  0.1217  0.1009
O  0.3661  0.3713  0.8678
O  0.3704  0.9078  0.8748
O  0.3819  0.3419  0.3986
O  0.4040  0.8649  0.3742
O  0.5962  0.1340  0.6261
O  0.6197  0.6573  0.6013
O  0.6296  0.0919  0.1253
O  0.6341  0.6283  0.1322
O  0.8415  0.8773  0.8998
O  0.8637  0.8681  0.3676
O  0.8667  0.4005  0.3708
O  0.9019  0.3638  0.8715

Largest 12 diffraction maxima, sorted by position, 2θ from 15° to 90°:
2θ 18.0, I = 70
2θ 29.7, I = 17
2θ 29.8, I = 34
2θ 34.0, I = 22
2θ 34.2, I = 42
2θ 34.6, I = 50
2θ 34.8, I = 100
2θ 36.5, I = 17
2θ 41.9, I = 18
2θ 42.2, I = 36
2θ 55.7, I = 17
2θ 60.2, I = 17

***

4.
Structure and computed XRD peak list of Co3SbO8 (a structure optimized by DFT (PBE+U); Cu Ka).
Kinematic intensities with the Lorentz-polarization factor, no thermal factor.

abc: 5.6695 5.6695 9.0999
angles: 90.20 90.20 119.64
Element x y z (fractional)
Co  0.0833  0.9167  0.5000
Co  0.4104  0.5788  0.0040
Co  0.5788  0.4104  0.5040
Co  0.5794  0.9182  0.5052
Co  0.9167  0.0833  0.0000
Co  0.9182  0.5794  0.0052
Sb  0.0876  0.4191  0.2815
Sb  0.4191  0.0876  0.7815
O  0.0678  0.9101  0.8910
O  0.0794  0.4174  0.9007
O  0.2303  0.2619  0.1218
O  0.2311  0.7178  0.1243
O  0.2619  0.2303  0.6218
O  0.2632  0.7809  0.6225
O  0.4174  0.0794  0.4007
O  0.4339  0.5927  0.3882
O  0.5927  0.4339  0.8882
O  0.5927  0.9104  0.8920
O  0.7178  0.2311  0.6243
O  0.7455  0.7530  0.5994
O  0.7530  0.7455  0.0994
O  0.7809  0.2632  0.1225
O  0.9101  0.0678  0.3910
O  0.9104  0.5927  0.3920

Largest 12 diffraction maxima, sorted by position, 2θ from 15° to 90°:
2θ 19.5, I = 25
2θ 20.4, I = 54
2θ 20.6, I = 100
2θ 26.7, I = 33
2θ 34.6, I = 19
2θ 34.8, I = 38
2θ 37.3, I = 37
2θ 37.4, I = 24
2θ 37.9, I = 19
2θ 47.7, I = 27
2θ 63.7, I = 28
2θ 65.9, I = 23

***

What did the second record say?
Structure and computed XRD peak list of CoSb2O6 (a structure optimized by DFT (PBE+U); Cu Ka).
Kinematic intensities with the Lorentz-polarization factor, no thermal factor.

abc: 4.7260 4.7260 9.4210
angles: 90.00 90.00 90.00
Element x y z (fractional)
Co  0.0000  0.0000  0.0000
Co  0.5000  0.5000  0.5000
Sb  0.0000  0.0000  0.3323
Sb  0.0000  0.0000  0.6677
Sb  0.5000  0.5000  0.1677
Sb  0.5000  0.5000  0.8323
O  0.1903  0.1903  0.5000
O  0.1975  0.1975  0.1716
O  0.1975  0.1975  0.8284
O  0.3025  0.6975  0.3284
O  0.3025  0.6975  0.6716
O  0.3097  0.6903  0.0000
O  0.6903  0.3097  0.0000
O  0.6975  0.3025  0.3284
O  0.6975  0.3025  0.6716
O  0.8025  0.8025  0.1716
O  0.8025  0.8025  0.8284
O  0.8097  0.8097  0.5000

Largest 12 diffraction maxima, sorted by position, 2θ from 15° to 90°:
2θ 21.0, I = 12
2θ 26.7, I = 100
2θ 34.3, I = 75
2θ 38.1, I = 20
2θ 52.2, I = 65
2θ 55.0, I = 17
2θ 58.8, I = 8
2θ 62.1, I = 14
2θ 65.7, I = 14
2θ 66.4, I = 21
2θ 79.2, I = 12
2θ 84.7, I = 9

***

Please write out number 3 again, unchanged.
Structure and computed XRD peak list of Co5SbO8 (a structure optimized by DFT (PBE+U); Cu Ka).
Kinematic intensities with the Lorentz-polarization factor, no thermal factor.

abc: 5.9934 6.0028 10.7116
angles: 74.05 73.76 60.27
Element x y z (fractional)
Co  0.0000  0.0000  0.0000
Co  0.0004  0.4993  0.0001
Co  0.0016  0.4992  0.4999
Co  0.0745  0.0665  0.2971
Co  0.4290  0.4253  0.2030
Co  0.5001  0.9999  0.9998
Co  0.5012  0.9995  0.4997
Co  0.5016  0.4997  0.5001
Co  0.5719  0.5740  0.7969
Co  0.9283  0.9321  0.7030
Sb  0.2493  0.2541  0.7500
Sb  0.7514  0.7453  0.2498
O  0.0989  0.6354  0.1284
O  0.1332  0.5989  0.6290
O  0.1358  0.1324  0.6322
O  0.1584  0.1217  0.1009
O  0.3661  0.3713  0.8678
O  0.3704  0.9078  0.8748
O  0.3819  0.3419  0.3986
O  0.4040  0.8649  0.3742
O  0.5962  0.1340  0.6261
O  0.6197  0.6573  0.6013
O  0.6296  0.0919  0.1253
O  0.6341  0.6283  0.1322
O  0.8415  0.8773  0.8998
O  0.8637  0.8681  0.3676
O  0.8667  0.4005  0.3708
O  0.9019  0.3638  0.8715

Largest 12 diffraction maxima, sorted by position, 2θ from 15° to 90°:
2θ 18.0, I = 70
2θ 29.7, I = 17
2θ 29.8, I = 34
2θ 34.0, I = 22
2θ 34.2, I = 42
2θ 34.6, I = 50
2θ 34.8, I = 100
2θ 36.5, I = 17
2θ 41.9, I = 18
2θ 42.2, I = 36
2θ 55.7, I = 17
2θ 60.2, I = 17

***

Copy entry 1 word for word.
Structure and computed XRD peak list of Co5SbO8 (a structure optimized by DFT (PBE+U); Cu Ka).
Kinematic intensities with the Lorentz-polarization factor, no thermal factor.

abc: 6.0045 6.0141 10.7497
angles: 73.80 89.89 60.13
Element x y z (fractional)
Co  0.0000  0.0000  0.0000
Co  0.0000  0.0000  0.5000
Co  0.0000  0.5000  0.0000
Co  0.0625  0.3682  0.7028
Co  0.4364  0.6337  0.7972
Co  0.5000  0.0000  0.0000
Co  0.5000  0.0000  0.5000
Co  0.5000  0.5000  0.5000
Co  0.5636  0.3663  0.2028
Co  0.9375  0.6318  0.2972
Sb  0.2511  0.9985  0.2499
Sb  0.7489  0.0015  0.7501
O  0.0988  0.7656  0.8690
O  0.1189  0.2594  0.8990
O  0.1379  0.7655  0.3707
O  0.1420  0.2252  0.3719
O  0.3626  0.2347  0.1282
O  0.3633  0.7734  0.1288
O  0.3806  0.7726  0.6012
O  0.3990  0.2317  0.6305
O  0.6010  0.7683  0.3695
O  0.6194  0.2274  0.3988
O  0.6367  0.2266  0.8712
O  0.6374  0.7653  0.8718
O  0.8580  0.7748  0.6281
O  0.8621  0.2345  0.6293
O  0.8811  0.7406  0.1010
O  0.9012  0.2344  0.1310

Largest 12 diffraction maxima, sorted by position, 2θ from 15° to 90°:
2θ 18.0, I = 70
2θ 29.7, I = 51
2θ 34.0, I = 64
2θ 34.6, I = 26
2θ 34.7, I = 100
2θ 34.7, I = 24
2θ 35.0, I = 21
2θ 42.0, I = 36
2θ 42.1, I = 18
2θ 55.5, I = 24
2θ 56.0, I = 17
2θ 61.7, I = 32